[1]
# SrSbF5
Simulated powder X-ray diffraction pattern, Cu Kα (λ = 1.5418 Å). Input: a GGA-PBE-relaxed structure.

a = 4.4710 Å, b = 8.9807 Å, c = 11.4055 Å
α = 90.00°, β = 90.00°, γ = 90.00°
Positions (direct):
Sr 0.0000 0.2500 0.0000
Sr 0.0000 0.2500 0.5000
Sr 0.0000 0.7500 0.0000
Sr 0.0000 0.7500 0.5000
Sb 0.3802 0.0570 0.2500
Sb 0.3802 0.4430 0.7500
Sb 0.6198 0.5570 0.2500
Sb 0.6198 0.9430 0.7500
F 0.0643 0.2143 0.2500
F 0.0643 0.2857 0.7500
F 0.0839 0.5132 0.6135
F 0.0839 0.5132 0.8865
F 0.0839 0.9868 0.1135
F 0.0839 0.9868 0.3865
F 0.4856 0.7029 0.1113
F 0.4856 0.7029 0.3887
F 0.4856 0.7971 0.6113
F 0.4856 0.7971 0.8887
F 0.5144 0.2029 0.1113
F 0.5144 0.2029 0.3887
F 0.5144 0.2971 0.6113
F 0.5144 0.2971 0.8887
F 0.9161 0.0132 0.6135
F 0.9161 0.0132 0.8865
F 0.9161 0.4868 0.1135
F 0.9161 0.4868 0.3865
F 0.9357 0.7143 0.2500
F 0.9357 0.7857 0.7500

Principal peaks in the range 10° ≤ 2θ ≤ 80°, in order of rising 2θ:
| two_theta | I/Imax | (hkl) |
| --- | --- | --- |
| 21.27 | 30 | 0 2 1 |
| 23.56 | 41 | 1 1 1 |
| 25.28 | 100 | 0 2 2 |
| 28.17 | 16 | 1 2 0 |
| 31.37 | 13 | 0 0 4 |
| 42.66 | 52 | 1 2 4 |
| 48.30 | 13 | 2 1 3 |
| 52.28 | 14 | 1 0 6 |



[2]
# MgTe4MoW3S4
Simulated powder X-ray diffraction pattern, Cu Kα (λ = 1.5418 Å). Input: a GGA-PBE-relaxed structure.

a = 3.3506 Å, b = 3.3506 Å, c = 38.3624 Å
α = 90.00°, β = 90.00°, γ = 120.00°
Positions (direct):
Mg 0.0000 0.0000 0.0000
Te 0.3450 0.6596 0.1695
Te 0.3450 0.6596 0.2682
Te 0.6782 0.3261 0.7329
Te 0.6782 0.3261 0.8322
Mo 0.6783 0.3262 0.2188
W 0.3449 0.6595 0.4068
W 0.3449 0.6595 0.7826
W 0.6783 0.3262 0.5946
S 0.3449 0.6596 0.5550
S 0.3449 0.6596 0.6342
S 0.6783 0.3261 0.3671
S 0.6782 0.3261 0.4464

Principal peaks in the range 10° ≤ 2θ ≤ 80°, in order of rising 2θ:
| two_theta | I/Imax | (hkl) |
| --- | --- | --- |
| 11.53 | 100 | 0 0 5 |
| 13.85 | 20 | 0 0 6 |
| 30.85 | 39 | 1 -1 0 |
| 36.18 | 78 | 0 1 8 |
| 38.92 | 15 | 0 1 10 |
| 43.75 | 37 | 0 1 13 |
| 54.80 | 23 | 1 1 0 |
| 67.44 | 12 | 2 0 8 |



[3]
# CsPrO3
Simulated powder X-ray diffraction pattern, Cu Kα (λ = 1.5418 Å). Input: a GGA-PBE-relaxed structure.

a = 4.7549 Å, b = 4.7549 Å, c = 4.7549 Å
α = 90.00°, β = 90.00°, γ = 90.00°
Positions (direct):
Cs 0.0000 0.0000 0.0000
Pr 0.5000 0.5000 0.5000
O 0.0000 0.5000 0.5000
O 0.5000 0.0000 0.5000
O 0.5000 0.5000 0.0000

Principal peaks in the range 10° ≤ 2θ ≤ 80°, in order of rising 2θ:
| two_theta | I/Imax | (hkl) |
| --- | --- | --- |
| 18.66 | 2 | 1 0 0 |
| 26.51 | 100 | 1 1 0 |
| 37.84 | 31 | 2 0 0 |
| 46.80 | 43 | 2 1 1 |
| 54.59 | 20 | 2 2 0 |
| 61.69 | 19 | 3 1 0 |
| 68.34 | 7 | 2 2 2 |
| 74.69 | 22 | 3 2 1 |



> What is the formula in the first record?

SrSbF5